1.
CaRuSN2: simulated powder XRD pattern (a wavelength of 1.5418 Å), based on a crystal structure in Alexandria, relaxed with GGA-PBE.

Structure:
abc: 3.857 3.857 5.154
angles: 90.00 90.00 90.00
Space group P4/mmm (No. 123)
Inequivalent atoms, fractional coordinates:
Ca 0.000 0.000 0.000 (multiplicity 1)
Ru 0.500 0.500 0.500 (multiplicity 1)
S 0.500 0.500 0.000 (multiplicity 1)
N 0.000 0.500 0.500 (multiplicity 2)

Principal peaks in the range 15 to 90 degrees two-theta, in order of rising 2θ:
hkl	2theta	I_rel
0 0 1	17.21	214
1 0 0	23.06	640
1 0 1	28.91	1000
1 1 0	32.84	647
0 0 2	34.82	510
1 0 2	42.18	246
2 0 0	47.13	402
1 1 2	48.61	424
2 1 1	56.24	298
2 0 2	59.91	368

---

2.
Dy4TcTe: simulated powder XRD pattern (a wavelength of 1.5418 Å), based on a crystal structure in Alexandria, relaxed with GGA-PBE.

Structure:
abc: 8.075 4.115 19.389
angles: 90.00 90.00 90.00
Space group Pnma (No. 62)
Inequivalent atoms, fractional coordinates:
Dy 0.002 0.250 0.066 (multiplicity 4)
Dy 0.059 0.750 0.211 (multiplicity 4)
Dy 0.126 0.750 0.642 (multiplicity 4)
Dy 0.143 0.750 0.456 (multiplicity 4)
Tc 0.250 0.250 0.557 (multiplicity 4)
Te 0.245 0.750 0.806 (multiplicity 4)

Principal peaks in the range 15 to 90 degrees two-theta, in order of rising 2θ:
hkl	2theta	I_rel
1 1 4	30.57	1000
2 1 0	31.03	515
0 1 5	31.71	326
2 0 5	32.00	318
3 0 1	33.62	425
2 1 3	34.06	755
1 0 7	34.22	316
3 0 4	38.25	313
0 2 0	44.01	401
3 2 4	59.67	235

---

3.
BeSbPd4: simulated powder XRD pattern (a wavelength of 1.5418 Å), based on a crystal structure in Alexandria, relaxed with GGA-PBE.

Structure:
abc: 7.407 5.530 4.718
angles: 90.00 97.33 90.00
Space group P2_1/c (No. 14)
Inequivalent atoms, fractional coordinates:
Be 0.000 0.000 0.000 (multiplicity 2)
Sb 0.500 0.000 0.500 (multiplicity 2)
Pd 0.146 0.121 0.439 (multiplicity 4)
Pd 0.300 0.594 0.465 (multiplicity 4)

Principal peaks in the range 15 to 90 degrees two-theta, in order of rising 2θ:
hkl	2theta	I_rel
2 1 0	29.19	653
0 2 0	32.38	265
2 1 1	36.76	751
0 0 2	38.48	766
1 0 -2	38.88	264
1 2 -1	39.01	927
1 2 1	40.59	545
3 1 -1	42.68	1000
3 1 1	46.99	480
3 1 -3	69.28	203

---

4.
BeGa6Br12: simulated powder XRD pattern (a wavelength of 1.5418 Å), based on a crystal structure in Alexandria, relaxed with GGA-PBE.

Structure:
abc: 15.5590 15.5590 9.9396
angles: 90.00 90.00 120.00
Space group R-3 (No. 148, hexagonal axes)
Inequivalent atoms, fractional coordinates:
Be 0.0000 0.0000 0.0000 (multiplicity 3)
Ga 0.0398 0.1457 0.1118 (multiplicity 18)
Br 0.0326 0.1763 0.3369 (multiplicity 18)
Br 0.0594 0.7922 0.0189 (multiplicity 18)

Principal peaks in the range 15 to 90 degrees two-theta, in order of rising 2θ:
hkl	2theta	I_rel
2 1 1	19.59	288
3 0 0	19.77	124
2 2 0	22.86	166
4 -3 1	25.46	1000
0 0 3	26.91	167
3 1 2	29.91	204
5 -4 3	41.04	153
2 5 0	41.87	299
4 -3 4	43.75	289
3 1 5	52.11	169

---

5.
Tb2Si4Pd5: simulated powder XRD pattern (a wavelength of 1.5418 Å), based on a crystal structure in Alexandria, relaxed with GGA-PBE.

Structure:
abc: 5.720 9.659 14.094
angles: 90.00 90.00 90.00
Space group Fmmm (No. 69)
Inequivalent atoms, fractional coordinates:
Tb 0.000 0.000 0.142 (multiplicity 8)
Si 0.000 0.135 0.361 (multiplicity 16)
Pd 0.000 0.000 0.500 (multiplicity 4)
Pd 0.250 0.250 0.000 (multiplicity 8)
Pd 0.250 0.250 0.250 (multiplicity 8)

Principal peaks in the range 15 to 90 degrees two-theta, in order of rising 2θ:
hkl	2theta	I_rel
1 1 3	26.22	696
0 2 4	31.43	758
2 2 0	36.51	1000
0 4 0	37.29	961
2 0 4	40.63	541
0 0 8	51.90	179
1 5 3	53.75	173
2 4 4	56.27	282
2 2 8	65.11	279
2 6 0	66.67	192

---

6.
VMo3Rh6: simulated powder XRD pattern (a wavelength of 1.5418 Å), based on a crystal structure in Alexandria, relaxed with GGA-PBE.

Structure:
abc: 7.283 4.400 9.520
angles: 90.00 108.61 90.00
Space group P2_1/m (No. 11)
Inequivalent atoms, fractional coordinates:
V 0.097 0.250 0.071 (multiplicity 2)
Mo 0.098 0.750 0.736 (multiplicity 2)
Mo 0.298 0.750 0.532 (multiplicity 2)
Mo 0.304 0.250 0.871 (multiplicity 2)
Rh 0.094 0.750 0.227 (multiplicity 2)
Rh 0.102 0.250 0.568 (multiplicity 2)
Rh 0.291 0.750 0.031 (multiplicity 2)
Rh 0.300 0.250 0.365 (multiplicity 2)
Rh 0.499 0.250 0.169 (multiplicity 2)
Rh 0.499 0.750 0.332 (multiplicity 2)

Principal peaks in the range 15 to 90 degrees two-theta, in order of rising 2θ:
hkl	2theta	I_rel
2 0 2	37.53	144
1 0 -4	37.80	217
0 2 0	41.02	379
2 1 2	42.97	463
3 1 -2	43.22	1000
1 2 -4	57.00	127
5 0 0	67.90	161
3 3 -2	76.25	180
5 2 0	82.49	188
2 1 -8	84.31	126